This entry pairs a crystal structure of K2CuPCO7 with its simulated X-ray powder pattern. Radiation: Cu Kα (weighted mean of Kα1 and Kα2). Structure: a DFT-relaxed cell (GGA-PBE, the Materials Project).
Intensities are scaled so that the largest is 1000.

Cell and atoms:
Unit cell a=5.241 b=7.843 c=9.244 alpha=90.00 beta=90.01 gamma=90.00
Sites, in units of the cell vectors:
K 0.243 0.022 0.254
K 0.243 0.478 0.254
K 0.757 0.522 0.746
K 0.757 0.978 0.746
Cu 0.227 0.250 0.645
Cu 0.773 0.750 0.355
P 0.284 0.750 0.575
P 0.716 0.250 0.425
C 0.272 0.250 0.902
C 0.728 0.750 0.098
O 0.058 0.250 0.829
O 0.119 0.750 0.432
O 0.245 0.587 0.663
O 0.245 0.913 0.663
O 0.284 0.250 0.037
O 0.424 0.250 0.478
O 0.466 0.250 0.813
O 0.534 0.750 0.187
O 0.576 0.750 0.522
O 0.716 0.750 0.963
O 0.755 0.087 0.337
O 0.755 0.413 0.337
O 0.881 0.250 0.568
O 0.942 0.750 0.171

Top 8 peaks for 15° ≤ 2θ ≤ 90°, in order of falling intensity:
2theta, I (rel.)
30.06, 1000
35.68, 491
25.70, 375
34.22, 348
29.88, 336
22.67, 302
33.74, 297
20.38, 295

---

This entry pairs a crystal structure of Mg3Bi3N5 with its simulated X-ray powder pattern. Radiation: Cu Kα (weighted mean of Kα1 and Kα2). Structure: a DFT-relaxed cell (GGA-PBE, the Materials Project).
Intensities are scaled so that the largest is 1000.

Cell and atoms:
Unit cell a=6.187 b=7.935 c=8.734 alpha=98.03 beta=104.05 gamma=94.39
Sites, in units of the cell vectors:
Mg 0.104 0.188 0.051
Mg 0.126 0.394 0.741
Mg 0.275 0.479 0.413
Mg 0.725 0.521 0.587
Mg 0.874 0.606 0.259
Mg 0.896 0.812 0.949
Bi 0.226 0.987 0.389
Bi 0.280 0.756 0.715
Bi 0.366 0.598 0.117
Bi 0.634 0.402 0.883
Bi 0.720 0.244 0.285
Bi 0.774 0.013 0.611
N 0.007 0.367 0.223
N 0.142 0.955 0.144
N 0.145 0.731 0.444
N 0.318 0.344 0.959
N 0.413 0.498 0.661
N 0.587 0.502 0.339
N 0.682 0.656 0.041
N 0.855 0.269 0.556
N 0.858 0.045 0.856
N 0.993 0.633 0.777

Top 8 peaks for 15° ≤ 2θ ≤ 90°, in order of falling intensity:
2theta, I (rel.)
19.75, 1000
16.76, 899
29.27, 815
27.92, 679
30.68, 625
31.77, 551
33.35, 531
34.41, 428

---

This entry pairs a crystal structure of GdInPd with its simulated X-ray powder pattern. Radiation: Cu Kα (weighted mean of Kα1 and Kα2). Structure: a DFT-relaxed cell (GGA-PBE, the Materials Project).
Intensities are scaled so that the largest is 1000.

Cell and atoms:
Unit cell a=7.758 b=7.758 c=3.908 alpha=90.00 beta=90.00 gamma=120.00
Sites, in units of the cell vectors:
Gd 0.000 0.591 0.000
Gd 0.409 0.409 0.000
Gd 0.591 0.000 0.000
In 0.000 0.257 0.500
In 0.257 0.000 0.500
In 0.743 0.743 0.500
Pd 0.000 0.000 0.000
Pd 0.333 0.667 0.500
Pd 0.667 0.333 0.500

Top 8 peaks for 15° ≤ 2θ ≤ 90°, in order of falling intensity:
2theta, I (rel.)
32.52, 1000
35.23, 909
35.35, 497
40.27, 374
65.05, 319
46.47, 236
42.45, 219
59.71, 213

---

This entry pairs a crystal structure of Ba3VN3 with its simulated X-ray powder pattern. Radiation: Cu Kα (weighted mean of Kα1 and Kα2). Structure: a DFT-relaxed cell (GGA-PBE, the Materials Project).
Intensities are scaled so that the largest is 1000.

Cell and atoms:
Unit cell a=8.473 b=8.473 c=5.529 alpha=90.00 beta=90.00 gamma=120.00
Sites, in units of the cell vectors:
Ba 0.078 0.363 0.250
Ba 0.286 0.922 0.250
Ba 0.363 0.286 0.750
Ba 0.637 0.714 0.250
Ba 0.714 0.078 0.750
Ba 0.922 0.637 0.750
V 0.333 0.667 0.750
V 0.667 0.333 0.250
N 0.133 0.444 0.750
N 0.310 0.867 0.750
N 0.444 0.310 0.250
N 0.556 0.690 0.750
N 0.690 0.133 0.250
N 0.867 0.556 0.250

Top 8 peaks for 15° ≤ 2θ ≤ 90°, in order of falling intensity:
2theta, I (rel.)
26.51, 1000
29.21, 524
32.28, 453
32.39, 350
46.38, 314
57.21, 209
36.75, 198
20.97, 192

---

This entry pairs a crystal structure of AlBW with its simulated X-ray powder pattern. Radiation: Cu Kα (weighted mean of Kα1 and Kα2). Structure: a DFT-relaxed cell (GGA-PBE, the Materials Project).
Intensities are scaled so that the largest is 1000.

Cell and atoms:
Unit cell a=3.230 b=13.964 c=3.127 alpha=90.00 beta=90.00 gamma=90.00
Sites, in units of the cell vectors:
Al 0.000 0.200 0.250
Al 0.000 0.800 0.750
Al 0.500 0.300 0.750
Al 0.500 0.700 0.250
B 0.000 0.034 0.250
B 0.000 0.966 0.750
B 0.500 0.466 0.750
B 0.500 0.534 0.250
W 0.000 0.410 0.250
W 0.000 0.590 0.750
W 0.500 0.090 0.750
W 0.500 0.910 0.250

Top 8 peaks for 15° ≤ 2θ ≤ 90°, in order of falling intensity:
2theta, I (rel.)
28.36, 1000
38.67, 929
44.80, 905
31.35, 883
42.81, 750
40.68, 650
25.51, 370
71.04, 319

---

This entry pairs a crystal structure of BaEuNbSnO6 with its simulated X-ray powder pattern. Radiation: Cu Kα (weighted mean of Kα1 and Kα2). Structure: a DFT-relaxed cell (GGA-PBE, the Materials Project).
Intensities are scaled so that the largest is 1000.

Cell and atoms:
Unit cell a=5.983 b=5.983 c=5.983 alpha=60.00 beta=60.00 gamma=60.00
Sites, in units of the cell vectors:
Ba 0.000 0.000 0.000
Eu 0.500 0.500 0.500
Nb 0.250 0.250 0.250
Sn 0.750 0.750 0.750
O 0.012 0.012 0.488
O 0.012 0.488 0.012
O 0.012 0.488 0.488
O 0.488 0.012 0.012
O 0.488 0.012 0.488
O 0.488 0.488 0.012

Top 8 peaks for 15° ≤ 2θ ≤ 90°, in order of falling intensity:
2theta, I (rel.)
29.87, 1000
53.02, 408
42.75, 303
85.97, 222
62.05, 190
70.37, 182
78.28, 64
36.80, 47

---

This entry pairs a crystal structure of Cr8FeCo2CuS16 with its simulated X-ray powder pattern. Radiation: Cu Kα (weighted mean of Kα1 and Kα2). Structure: a DFT-relaxed cell (GGA-PBE, the Materials Project).
Intensities are scaled so that the largest is 1000.

Cell and atoms:
Unit cell a=12.064 b=12.064 c=12.064 alpha=33.71 beta=33.71 gamma=33.71
Sites, in units of the cell vectors:
Cr 0.000 0.000 0.000
Cr 0.248 0.248 0.751
Cr 0.248 0.751 0.248
Cr 0.251 0.748 0.748
Cr 0.499 0.499 0.499
Cr 0.748 0.251 0.748
Cr 0.748 0.748 0.251
Cr 0.751 0.248 0.248
Fe 0.311 0.311 0.311
Co 0.187 0.187 0.187
Co 0.811 0.811 0.811
Cu 0.687 0.687 0.687
S 0.114 0.114 0.641
S 0.114 0.641 0.114
S 0.121 0.121 0.121
S 0.139 0.615 0.615
S 0.354 0.886 0.886
S 0.378 0.378 0.378
S 0.383 0.383 0.859
S 0.383 0.859 0.383
S 0.615 0.139 0.615
S 0.615 0.615 0.139
S 0.620 0.620 0.620
S 0.641 0.114 0.114
S 0.859 0.383 0.383
S 0.877 0.877 0.877
S 0.886 0.354 0.886
S 0.886 0.886 0.354

Top 8 peaks for 15° ≤ 2θ ≤ 90°, in order of falling intensity:
2theta, I (rel.)
29.99, 1000
36.39, 638
52.31, 597
52.49, 589
25.51, 455
47.87, 377
30.07, 335
47.80, 177

---

This entry pairs a crystal structure of Nd3Co8Sn4 with its simulated X-ray powder pattern. Radiation: Cu Kα (weighted mean of Kα1 and Kα2). Structure: a DFT-relaxed cell (GGA-PBE, the Materials Project).
Intensities are scaled so that the largest is 1000.

Cell and atoms:
Unit cell a=9.015 b=9.015 c=7.591 alpha=90.00 beta=90.00 gamma=120.00
Sites, in units of the cell vectors:
Nd 0.055 0.527 0.000
Nd 0.473 0.527 0.000
Nd 0.473 0.945 0.000
Nd 0.527 0.055 0.500
Nd 0.527 0.473 0.500
Nd 0.945 0.473 0.500
Co 0.000 0.000 0.219
Co 0.000 0.000 0.719
Co 0.095 0.190 0.975
Co 0.095 0.905 0.975
Co 0.156 0.312 0.667
Co 0.156 0.844 0.667
Co 0.190 0.095 0.475
Co 0.312 0.156 0.167
Co 0.333 0.667 0.305
Co 0.667 0.333 0.805
Co 0.688 0.844 0.667
Co 0.810 0.905 0.975
Co 0.844 0.156 0.167
Co 0.844 0.688 0.167
Co 0.905 0.095 0.475
Co 0.905 0.810 0.475
Sn 0.170 0.339 0.294
Sn 0.170 0.830 0.294
Sn 0.333 0.667 0.668
Sn 0.339 0.170 0.794
Sn 0.661 0.830 0.294
Sn 0.667 0.333 0.168
Sn 0.830 0.170 0.794
Sn 0.830 0.661 0.794

Top 8 peaks for 15° ≤ 2θ ≤ 90°, in order of falling intensity:
2theta, I (rel.)
32.91, 1000
40.00, 917
36.50, 367
32.55, 352
37.36, 338
63.65, 336
38.65, 234
25.66, 207